No. 1
W2Br5: calculated PXRD pattern (Cu Kα), based on a PBE-relaxed structure.

Structural model:
```
data_W2Br5
_symmetry_space_group_name_H-M 'P 1 21/c 1'
_symmetry_Int_Tables_number 14
_cell_length_a 9.538
_cell_length_b 11.238
_cell_length_c 18.544
_cell_angle_alpha 90.00
_cell_angle_beta 103.93
_cell_angle_gamma 90.00
loop_
_symmetry_equiv_pos_as_xyz
'x,y,z'
'-x,-y,-z'
'-x,y+1/2,-z+1/2'
'x,-y+1/2,z+1/2'
loop_
_atom_site_label
_atom_site_fract_x
_atom_site_fract_y
_atom_site_fract_z
W1 0.074 0.199 0.365
W2 0.124 0.110 0.943
W3 0.153 0.105 0.809
W4 0.340 0.245 0.888
Br1 0.021 0.206 0.496
Br2 0.104 0.509 0.176
Br3 0.115 0.677 0.732
Br4 0.137 0.521 0.577
Br5 0.180 0.590 0.386
Br6 0.196 0.185 0.248
Br7 0.273 0.052 0.436
Br8 0.392 0.152 0.015
Br9 0.427 0.653 0.124
Br10 0.428 0.065 0.823
```

The 12 most intense peaks (2θ = 5–70°), sorted by position:
d (Å)	I/Imax	(hkl)
9.533	21	0 1 1
9.258	42	1 0 0
7.405	37	1 0 -2
7.145	58	1 1 0
7.025	100	0 1 2
6.255	11	1 1 1
5.793	13	1 0 2
3.130	11	1 3 -3
3.050	11	3 1 -1
2.341	11	0 3 6
2.251	11	2 4 2
2.090	12	0 2 8

No. 2
LaMn3Ni2: calculated PXRD pattern (Cu Kα), based on a PBE-relaxed structure.

Structural model:
```
data_LaMn3Ni2
_symmetry_space_group_name_H-M 'P 6/m m m'
_symmetry_Int_Tables_number 191
_symmetry_space_group_name_Hall '-P 6 2'
_cell_length_a 9.1268
_cell_length_b 9.1268
_cell_length_c 4.1610
_cell_angle_alpha 90.00
_cell_angle_beta 90.00
_cell_angle_gamma 120.00
loop_
_atom_site_label
_atom_site_fract_x
_atom_site_fract_y
_atom_site_fract_z
La1 0.0000 0.0000 0.0000
La2 0.3333 0.6667 0.5000
Mn1 0.0000 0.3043 0.5000
Mn2 0.0000 0.5000 0.0000
Ni1 0.1799 0.3597 0.0000
```

The 12 most intense peaks (2θ = 5–70°), sorted by position:
d (Å)	I/Imax	(hkl)
3.682	42	1 0 1
3.075	14	1 1 1
2.866	50	2 0 1
2.635	55	3 0 0
2.427	94	2 1 1
2.282	83	2 2 0
2.226	100	3 0 1
2.081	57	0 0 2
2.001	51	2 2 1
1.633	25	3 0 2
1.537	46	2 2 2
1.478	22	5 0 1

No. 3
Na2U2O7: calculated PXRD pattern (Cu Kα), based on a PBE-relaxed structure.

Structural model:
```
data_Na2U2O7
_symmetry_space_group_name_H-M 'C 1 2/m 1'
_symmetry_Int_Tables_number 12
_cell_length_a 13.181
_cell_length_b 7.887
_cell_length_c 6.919
_cell_angle_alpha 90.00
_cell_angle_beta 110.46
_cell_angle_gamma 90.00
loop_
_symmetry_equiv_pos_as_xyz
'x,y,z'
'-x,-y,-z'
'-x,y,-z'
'x,-y,z'
'x+1/2,y+1/2,z'
'-x+1/2,-y+1/2,-z'
'-x+1/2,y+1/2,-z'
'x+1/2,-y+1/2,z'
loop_
_atom_site_label
_atom_site_fract_x
_atom_site_fract_y
_atom_site_fract_z
Na1 0.000 0.000 0.000
Na2 0.000 0.241 0.500
Na3 0.000 0.500 0.000
U1 0.244 0.500 0.461
U2 0.250 0.250 0.000
O1 0.091 0.500 0.363
O2 0.097 0.224 0.904
O3 0.105 0.000 0.441
O4 0.229 0.500 0.116
O5 0.240 0.299 0.680
```

The 12 most intense peaks (2θ = 5–70°), sorted by position:
d (Å)	I/Imax	(hkl)
6.175	100	2 0 0
3.400	22	2 0 -2
3.369	48	0 2 1
3.241	27	0 0 2
3.213	58	2 2 -1
3.087	26	4 0 0
2.755	26	2 2 1
2.515	13	4 2 -1
1.991	18	2 2 -3
1.918	15	6 2 -1
1.895	15	4 2 -3
1.673	15	6 2 -3

No. 4
Mn3Ge: calculated PXRD pattern (Cu Kα), based on a PBE-relaxed structure.

Structural model:
```
data_Mn3Ge
_symmetry_space_group_name_H-M 'R -3 m'
_symmetry_Int_Tables_number 166
_symmetry_space_group_name_Hall '-R 3 2"'
_cell_length_a 2.6892
_cell_length_b 2.6892
_cell_length_c 24.1794
_cell_angle_alpha 90.00
_cell_angle_beta 90.00
_cell_angle_gamma 120.00
loop_
_atom_site_label
_atom_site_fract_x
_atom_site_fract_y
_atom_site_fract_z
Mn1 0.0000 0.0000 0.0000
Mn2 0.0000 0.0000 0.2527
Ge1 0.0000 0.0000 0.5000
```

The 11 most intense peaks (2θ = 5–70°), sorted by position:
d (Å)	I/Imax	(hkl)
8.060	2	0 0 3
4.030	1	0 0 6
2.687	1	0 0 9
2.318	1	1 0 1
2.287	1	0 1 2
2.173	100	1 0 4
2.098	1	0 1 5
2.015	26	0 0 12
1.845	58	0 1 8
1.453	1	1 0 13
1.345	19	1 1 0

No. 5
Ca4GaSn3: calculated PXRD pattern (Cu Kα), based on a PBE-relaxed structure.

Structural model:
```
data_Ca4GaSn3
_symmetry_space_group_name_H-M 'P m m 2'
_symmetry_Int_Tables_number 25
_cell_length_a 4.417
_cell_length_b 4.723
_cell_length_c 11.418
_cell_angle_alpha 90.00
_cell_angle_beta 90.00
_cell_angle_gamma 90.00
loop_
_symmetry_equiv_pos_as_xyz
'x,y,z'
'-x,-y,z'
'-x,y,z'
'x,-y,z'
loop_
_atom_site_label
_atom_site_fract_x
_atom_site_fract_y
_atom_site_fract_z
Ca1 0.000 0.000 0.000
Ca2 0.000 0.500 0.493
Ca3 0.500 0.000 0.265
Ca4 0.500 0.500 0.769
Ga1 0.000 0.500 0.212
Sn1 0.000 0.000 0.716
Sn2 0.500 0.000 0.548
Sn3 0.500 0.500 0.057
```

The 12 most intense peaks (2θ = 5–70°), sorted by position:
d (Å)	I/Imax	(hkl)
5.709	31	0 0 2
4.365	54	0 1 1
3.493	18	1 0 2
3.105	79	1 1 1
2.854	18	0 0 4
2.461	100	1 1 3
2.397	31	1 0 4
2.362	29	0 2 0
2.208	24	2 0 0
1.682	21	1 2 4
1.613	18	2 2 0
1.382	16	1 3 3

No. 6
K2RbAlI6: calculated PXRD pattern (Cu Kα), based on a PBE-relaxed structure.

Structural model:
```
data_K2RbAlI6
_symmetry_space_group_name_H-M 'F m -3 m'
_symmetry_Int_Tables_number 225
_symmetry_space_group_name_Hall '-F 4 2 3'
_cell_length_a 12.450
_cell_length_b 12.450
_cell_length_c 12.450
_cell_angle_alpha 90.00
_cell_angle_beta 90.00
_cell_angle_gamma 90.00
loop_
_atom_site_label
_atom_site_fract_x
_atom_site_fract_y
_atom_site_fract_z
K1 0.250 0.250 0.250
Rb1 0.000 0.000 0.000
Al1 0.000 0.000 0.500
I1 0.000 0.000 0.277
```

The 12 most intense peaks (2θ = 5–70°), sorted by position:
d (Å)	I/Imax	(hkl)
6.225	52	2 0 0
3.594	100	2 2 2
3.112	89	4 0 0
2.856	25	3 3 1
2.784	19	4 2 0
2.396	24	3 3 3
2.201	58	4 4 0
1.877	33	6 2 2
1.797	18	4 4 4
1.621	20	7 3 1
1.521	15	7 3 3
1.392	18	8 4 0

> Which formula does entry 6 have?

K2RbAlI6